# Cd4In2SnHg
Simulated powder diffractogram, Cu Kα (weighted mean of Kα1 and Kα2). Input: a structure optimized by DFT (PBE).
No peak broadening, texture or thermal motion is included.

Cell and atoms:
```
data_Cd4In2SnHg
_chemical_formula_sum 'Cd4 In2 Sn1 Hg1'
_cell_length_a 6.1388
_cell_length_b 3.4297
_cell_length_c 9.7125
_cell_angle_alpha 90.00
_cell_angle_beta 101.02
_cell_angle_gamma 90.00
_symmetry_space_group_name_H-M 'P 1 2/m 1'
_symmetry_Int_Tables_number 10
loop_
_symmetry_equiv_pos_as_xyz
'x,y,z'
'-x,-y,-z'
'-x,y,-z'
'x,-y,z'
loop_
_atom_site_label
_atom_site_type_symbol
_atom_site_fract_x
_atom_site_fract_y
_atom_site_fract_z
_atom_site_occupancy
Cd1 Cd 0.2432 0.0000 0.2458 1
Cd2 Cd 0.2517 0.5000 0.7531 1
In1 In 0.5000 0.0000 0.0000 1
In2 In 0.5000 0.5000 0.5000 1
Sn1 Sn 0.0000 0.0000 0.5000 1
Hg1 Hg 0.0000 0.5000 0.0000 1
```

Principal peaks in the range 2θ = 10–90°, in order of falling intensity:
2θ/deg  I (rel.)
32.30  100
39.44  58
31.96  51
37.74  33
38.27  31
52.05  25
60.02  16
63.63  14
65.46  12
66.67  12